[1]
Simulated PXRD pattern
Compound: MoCl4
Radiation: λ = 1.5418 Å (Cu Kα)
Structure: a DFT-relaxed cell (PBE, OQMD)
Neutral-atom scattering factors, no anomalous dispersion.

Most intense lines, 2θ from 5° to 70°, most intense first:
2θ/deg  I (rel.)
32.9  1000
14.9  681
42.4  571
16.7  379
22.5  288
51.7  280

Structural model:
a = 12.2596 Å, b = 12.2596 Å, c = 5.9340 Å
α = 90.00°, β = 90.00°, γ = 120.00°
Fractional coordinates of all 30 atoms:
Mo (0.1741, 0.3483, 0.0000)
Mo (0.1741, 0.8259, 0.0000)
Mo (0.3483, 0.1741, 0.0000)
Mo (0.6517, 0.8259, 0.0000)
Mo (0.8259, 0.1741, 0.0000)
Mo (0.8259, 0.6517, 0.0000)
Cl (0.0000, 0.1713, 0.7850)
Cl (0.0000, 0.3314, 0.2286)
Cl (0.0000, 0.6686, 0.7714)
Cl (0.0000, 0.8287, 0.2150)
Cl (0.1713, 0.0000, 0.7850)
Cl (0.1713, 0.1713, 0.2150)
Cl (0.1713, 0.4889, 0.7560)
Cl (0.1713, 0.6824, 0.2440)
Cl (0.3176, 0.4889, 0.2440)
Cl (0.3176, 0.8287, 0.7560)
Cl (0.3314, 0.0000, 0.2286)
Cl (0.3314, 0.3314, 0.7714)
Cl (0.4889, 0.1713, 0.7560)
Cl (0.4889, 0.3176, 0.2440)
Cl (0.5111, 0.6824, 0.7560)
Cl (0.5111, 0.8287, 0.2440)
Cl (0.6686, 0.0000, 0.7714)
Cl (0.6686, 0.6686, 0.2286)
Cl (0.6824, 0.1713, 0.2440)
Cl (0.6824, 0.5111, 0.7560)
Cl (0.8287, 0.0000, 0.2150)
Cl (0.8287, 0.3176, 0.7560)
Cl (0.8287, 0.5111, 0.2440)
Cl (0.8287, 0.8287, 0.7850)

[2]
Simulated PXRD pattern
Compound: MoCl5
Radiation: λ = 1.5418 Å (Cu Kα)
Structure: a DFT-relaxed cell (PBE, OQMD)
Neutral-atom scattering factors, no anomalous dispersion.

Most intense lines, 2θ from 5° to 70°, most intense first:
2θ/deg  I (rel.)
15.9  1000
32.8  734
16.4  551
17.1  530
37.1  468
19.9  364

Structural model:
a = 11.7174 Å, b = 17.8653 Å, c = 6.1148 Å
α = 90.00°, β = 90.00°, γ = 90.00°
Fractional coordinates of all 48 atoms:
Mo (0.1248, 0.1411, 0.0901)
Mo (0.1248, 0.3589, 0.0901)
Mo (0.3752, 0.6411, 0.5901)
Mo (0.3752, 0.8589, 0.5901)
Mo (0.6248, 0.1411, 0.4099)
Mo (0.6248, 0.3589, 0.4099)
Mo (0.8752, 0.6411, 0.9099)
Mo (0.8752, 0.8589, 0.9099)
Cl (0.0029, 0.1540, 0.8007)
Cl (0.0029, 0.3460, 0.8007)
Cl (0.0110, 0.0579, 0.2641)
Cl (0.0110, 0.4421, 0.2641)
Cl (0.0170, 0.2500, 0.2556)
Cl (0.2328, 0.2500, 0.9248)
Cl (0.2392, 0.0588, 0.9146)
Cl (0.2392, 0.4412, 0.9146)
Cl (0.2449, 0.1541, 0.3815)
Cl (0.2449, 0.3459, 0.3815)
Cl (0.2551, 0.6541, 0.8815)
Cl (0.2551, 0.8459, 0.8815)
Cl (0.2608, 0.5588, 0.4146)
Cl (0.2608, 0.9412, 0.4146)
Cl (0.2672, 0.7500, 0.4248)
Cl (0.4830, 0.7500, 0.7556)
Cl (0.4890, 0.5579, 0.7641)
Cl (0.4890, 0.9421, 0.7641)
Cl (0.4971, 0.6540, 0.3007)
Cl (0.4971, 0.8460, 0.3007)
Cl (0.5029, 0.1540, 0.6993)
Cl (0.5029, 0.3460, 0.6993)
Cl (0.5110, 0.0579, 0.2359)
Cl (0.5110, 0.4421, 0.2359)
Cl (0.5170, 0.2500, 0.2444)
Cl (0.7328, 0.2500, 0.5752)
Cl (0.7392, 0.0588, 0.5854)
Cl (0.7392, 0.4412, 0.5854)
Cl (0.7449, 0.1541, 0.1185)
Cl (0.7449, 0.3459, 0.1185)
Cl (0.7551, 0.6541, 0.6185)
Cl (0.7551, 0.8459, 0.6185)
Cl (0.7608, 0.5588, 0.0854)
Cl (0.7608, 0.9412, 0.0854)
Cl (0.7672, 0.7500, 0.0752)
Cl (0.9830, 0.7500, 0.7444)
Cl (0.9890, 0.5579, 0.7359)
Cl (0.9890, 0.9421, 0.7359)
Cl (0.9971, 0.6540, 0.1993)
Cl (0.9971, 0.8460, 0.1993)

[3]
Simulated PXRD pattern
Compound: MoS2N2Cl5
Radiation: λ = 1.5418 Å (Cu Kα)
Structure: a DFT-relaxed cell (PBE, OQMD)
Neutral-atom scattering factors, no anomalous dispersion.

Most intense lines, 2θ from 5° to 70°, most intense first:
2θ/deg  I (rel.)
26.7  1000
17.1  985
17.6  765
28.5  716
13.6  572
33.3  349

Structural model:
a = 6.9679 Å, b = 7.4343 Å, c = 9.8096 Å
α = 76.54°, β = 80.52°, γ = 86.73°
Fractional coordinates of all 20 atoms:
Mo (0.1964, 0.1539, 0.2360)
Mo (0.8036, 0.8461, 0.7640)
S (0.0296, 0.4082, 0.9116)
S (0.3922, 0.8046, 0.4561)
S (0.6078, 0.1954, 0.5439)
S (0.9704, 0.5918, 0.0884)
N (0.0631, 0.3848, 0.0778)
N (0.3006, 0.9704, 0.3556)
N (0.6994, 0.0296, 0.6444)
N (0.9369, 0.6152, 0.9222)
Cl (0.0943, 0.3668, 0.3748)
Cl (0.1190, 0.9737, 0.7007)
Cl (0.2404, 0.0328, 0.0348)
Cl (0.4818, 0.3590, 0.6794)
Cl (0.4911, 0.3113, 0.1521)
Cl (0.5089, 0.6887, 0.8479)
Cl (0.5182, 0.6410, 0.3206)
Cl (0.7596, 0.9672, 0.9652)
Cl (0.8810, 0.0263, 0.2993)
Cl (0.9057, 0.6332, 0.6252)

[4]
Simulated PXRD pattern
Compound: Mo3S7Cl4
Radiation: λ = 1.5418 Å (Cu Kα)
Structure: a DFT-relaxed cell (PBE, OQMD)
Neutral-atom scattering factors, no anomalous dispersion.

Most intense lines, 2θ from 5° to 70°, most intense first:
2θ/deg  I (rel.)
13.3  1000
15.0  841
13.0  540
14.9  464
14.5  293
16.7  277

Structural model:
a = 9.4848 Å, b = 12.1919 Å, c = 14.0487 Å
α = 90.00°, β = 122.66°, γ = 90.00°
Fractional coordinates of all 56 atoms:
Mo (0.0990, 0.1596, 0.2773)
Mo (0.0990, 0.3404, 0.7773)
Mo (0.1397, 0.1183, 0.7824)
Mo (0.1397, 0.3817, 0.2824)
Mo (0.3788, 0.2456, 0.2922)
Mo (0.3788, 0.2544, 0.7922)
Mo (0.6212, 0.7456, 0.2078)
Mo (0.6212, 0.7544, 0.7078)
Mo (0.8603, 0.6183, 0.7176)
Mo (0.8603, 0.8817, 0.2176)
Mo (0.9010, 0.6596, 0.2227)
Mo (0.9010, 0.8404, 0.7227)
S (0.0944, 0.2188, 0.9103)
S (0.0944, 0.2812, 0.4103)
S (0.0974, 0.2351, 0.6359)
S (0.0974, 0.2649, 0.1359)
S (0.1181, 0.7079, 0.7472)
S (0.1181, 0.7921, 0.2472)
S (0.3198, 0.0445, 0.2797)
S (0.3198, 0.4556, 0.7797)
S (0.3828, 0.1205, 0.4263)
S (0.3828, 0.3795, 0.9263)
S (0.3942, 0.0495, 0.7898)
S (0.3942, 0.4505, 0.2898)
S (0.4312, 0.1197, 0.9325)
S (0.4312, 0.3803, 0.4325)
S (0.5688, 0.6197, 0.5675)
S (0.5688, 0.8803, 0.0675)
S (0.6058, 0.5495, 0.7102)
S (0.6058, 0.9505, 0.2102)
S (0.6172, 0.6205, 0.0737)
S (0.6172, 0.8795, 0.5737)
S (0.6802, 0.5444, 0.2203)
S (0.6802, 0.9556, 0.7203)
S (0.8819, 0.2079, 0.7528)
S (0.8819, 0.2921, 0.2528)
S (0.9026, 0.7351, 0.8641)
S (0.9026, 0.7649, 0.3641)
S (0.9056, 0.7188, 0.5897)
S (0.9056, 0.7812, 0.0897)
Cl (0.0307, 0.0119, 0.3752)
Cl (0.0307, 0.4881, 0.8752)
Cl (0.1202, 0.5496, 0.3857)
Cl (0.1202, 0.9504, 0.8857)
Cl (0.3182, 0.7159, 0.0961)
Cl (0.3182, 0.7841, 0.5961)
Cl (0.4323, 0.2363, 0.1363)
Cl (0.4323, 0.2637, 0.6363)
Cl (0.5677, 0.7363, 0.3637)
Cl (0.5677, 0.7637, 0.8637)
Cl (0.6818, 0.2159, 0.4039)
Cl (0.6818, 0.2841, 0.9039)
Cl (0.8798, 0.0496, 0.1143)
Cl (0.8798, 0.4504, 0.6143)
Cl (0.9693, 0.5119, 0.1248)
Cl (0.9693, 0.9881, 0.6248)

[5]
Simulated PXRD pattern
Compound: MoSeS2Cl5
Radiation: λ = 1.5418 Å (Cu Kα)
Structure: a DFT-relaxed cell (PBE, OQMD)
Neutral-atom scattering factors, no anomalous dispersion.

Most intense lines, 2θ from 5° to 70°, most intense first:
2θ/deg  I (rel.)
11.8  1000
15.0  520
14.8  423
28.7  175
44.9  145
21.4  129

Structural model:
a = 9.7107 Å, b = 9.7107 Å, c = 13.2406 Å
α = 113.55°, β = 113.55°, γ = 58.05°
Fractional coordinates of all 36 atoms:
Mo (0.1052, 0.7410, 0.7634)
Mo (0.2590, 0.8948, 0.7366)
Mo (0.7410, 0.1052, 0.2634)
Mo (0.8948, 0.2590, 0.2366)
Se (0.2749, 0.4142, 0.7625)
Se (0.4142, 0.2749, 0.2625)
Se (0.5858, 0.7251, 0.7375)
Se (0.7251, 0.5858, 0.2375)
S (0.0271, 0.8413, 0.5972)
S (0.1587, 0.9729, 0.9028)
S (0.2459, 0.6356, 0.6135)
S (0.3644, 0.7541, 0.8865)
S (0.6356, 0.2459, 0.1135)
S (0.7541, 0.3644, 0.3865)
S (0.8413, 0.0271, 0.0972)
S (0.9729, 0.1587, 0.4028)
Cl (0.0334, 0.4432, 0.3548)
Cl (0.0527, 0.1755, 0.7242)
Cl (0.1168, 0.6578, 0.9218)
Cl (0.1755, 0.0527, 0.2242)
Cl (0.2567, 0.3566, 0.1009)
Cl (0.3422, 0.8832, 0.5782)
Cl (0.3566, 0.2567, 0.6009)
Cl (0.3626, 0.5366, 0.3675)
Cl (0.4432, 0.0334, 0.8548)
Cl (0.4634, 0.6374, 0.1325)
Cl (0.5366, 0.3626, 0.8675)
Cl (0.5568, 0.9666, 0.1452)
Cl (0.6374, 0.4634, 0.6325)
Cl (0.6434, 0.7433, 0.3991)
Cl (0.6578, 0.1168, 0.4218)
Cl (0.7433, 0.6434, 0.8991)
Cl (0.8245, 0.9473, 0.7758)
Cl (0.8832, 0.3422, 0.0782)
Cl (0.9473, 0.8245, 0.2758)
Cl (0.9666, 0.5568, 0.6452)

[6]
Simulated PXRD pattern
Compound: TlMo2S2Cl6
Radiation: λ = 1.5418 Å (Cu Kα)
Structure: a DFT-relaxed cell (PBE, OQMD)
Neutral-atom scattering factors, no anomalous dispersion.

Most intense lines, 2θ from 5° to 70°, most intense first:
2θ/deg  I (rel.)
15.2  1000
21.8  444
29.4  328
39.3  327
34.4  325
35.7  319

Structural model:
a = 6.5375 Å, b = 6.5375 Å, c = 10.2396 Å
α = 107.01°, β = 107.01°, γ = 41.10°
Fractional coordinates of all 11 atoms:
Tl (0.0000, 0.0000, 0.0000)
Mo (0.4959, 0.4959, 0.3530)
Mo (0.5041, 0.5041, 0.6470)
S (0.0036, 0.0036, 0.6467)
S (0.9964, 0.9964, 0.3533)
Cl (0.3359, 0.3359, 0.4442)
Cl (0.3520, 0.3520, 0.1298)
Cl (0.3672, 0.3672, 0.7742)
Cl (0.6328, 0.6328, 0.2258)
Cl (0.6480, 0.6480, 0.8702)
Cl (0.6641, 0.6641, 0.5558)